# 1
Simulated XRD peak list of HfAsIr3 for Cu Kα, 1.54184 Å, from a PBE-relaxed structure.
Intensities are scaled so that the largest is 100.

Most intense lines, 10 to 90 degrees two-theta, low angle first:
- 19.5 deg, I 6
- 27.7 deg, I 2
- 34.1 deg, I 100
- 39.5 deg, I 76
- 44.4 deg, I 3
- 57.1 deg, I 53
- 61.0 deg, I 1
- 68.2 deg, I 41
- 71.7 deg, I 18
- 85.1 deg, I 9

Cell and atoms:
```
HfAsIr3
1.0
4.5593 0.0000 0.0000
0.0000 4.5593 0.0000
0.0000 0.0000 4.5593
Hf As Ir
1 1 3
Direct
0.0000 0.0000 0.0000
0.5000 0.5000 0.5000
0.0000 0.5000 0.5000
0.5000 0.0000 0.5000
0.5000 0.5000 0.0000
```

***

# 2
Simulated XRD peak list of AcPa2O6 for Cu Kα, 1.54184 Å, from a PBE-relaxed structure.
Intensities are scaled so that the largest is 100.

Most intense lines, 10 to 90 degrees two-theta, low angle first:
- 27.5 deg, I 100
- 27.7 deg, I 32
- 31.9 deg, I 50
- 45.7 deg, I 33
- 45.9 deg, I 32
- 54.3 deg, I 47
- 54.4 deg, I 16
- 56.9 deg, I 11
- 73.6 deg, I 13
- 84.7 deg, I 11

Cell and atoms:
```
AcPa2O6
1.0
3.9684 0.0000 0.0000
-1.9842 3.4367 0.0000
0.0000 0.0000 9.6743
Ac Pa O
1 2 6
Direct
0.0000 0.0000 0.0000
0.3333 0.6667 0.6608
0.6667 0.3333 0.3392
0.0000 0.0000 0.2786
0.0000 0.0000 0.7214
0.3333 0.6667 0.4226
0.3333 0.6667 0.8881
0.6667 0.3333 0.1119
0.6667 0.3333 0.5774
```

***

# 3
Simulated XRD peak list of YTm2Tl2Ag2 for Cu Kα, 1.54184 Å, from a PBE-relaxed structure.
Intensities are scaled so that the largest is 100.

Most intense lines, 10 to 90 degrees two-theta, low angle first:
- 10.3 deg, I 14
- 20.7 deg, I 12
- 32.3 deg, I 93
- 35.1 deg, I 22
- 36.8 deg, I 100
- 41.1 deg, I 15
- 49.8 deg, I 27
- 63.5 deg, I 26
- 66.3 deg, I 18
- 66.7 deg, I 12

Cell and atoms:
```
YTm2Tl2Ag2
1.0
2.4404 1.4090 8.5639
-2.4404 1.4090 8.5639
0.0000 -2.8179 8.5639
Y Tm Tl Ag
1 2 2 2
Direct
0.0000 0.0000 0.0000
0.1332 0.1332 0.1332
0.8668 0.8668 0.8668
0.2648 0.2648 0.2648
0.7352 0.7352 0.7352
0.4373 0.4373 0.4373
0.5627 0.5627 0.5627
```